Structure and simulated powder XRD pattern of Li3Fe2B2O8 (a structure optimized by DFT (PBE+U); copper Kα).
Neutral-atom scattering factors, no anomalous dispersion.

Structure:
```
data_Li3Fe2B2O8
_cell_length_a 6.7426
_cell_length_b 5.1861
_cell_length_c 10.9053
_cell_angle_alpha 90.00
_cell_angle_beta 98.12
_cell_angle_gamma 90.00
_space_group_name_H-M_alt 'P 1 c 1'
_space_group_IT_number 7
loop_
_space_group_symop_operation_xyz
'x,y,z'
'x,-y,z+1/2'
loop_
_atom_site_label
_atom_site_type_symbol
_atom_site_fract_x
_atom_site_fract_y
_atom_site_fract_z
Li1 Li 0.0000 0.0835 0.0000
Li2 Li 0.1028 0.1156 0.2848
Li3 Li 0.3306 0.3950 0.8525
Fe1 Fe 0.7092 0.0826 0.7219
Fe2 Fe 0.7214 0.4047 0.4168
B1 B 0.0007 0.4202 0.6409
B2 B 0.4064 0.0676 0.4976
O1 O 0.1231 0.4668 0.2319
O2 O 0.2553 0.0617 0.9287
O3 O 0.4696 0.3083 0.4623
O4 O 0.5010 0.0385 0.1071
O5 O 0.6084 0.3609 0.7972
O6 O 0.8380 0.1126 0.3546
O7 O 0.9152 0.4392 0.0367
O8 O 0.9466 0.1543 0.6454
```

Most intense lines, 15° ≤ 2θ ≤ 90°, in order of rising 2θ:
d_spacing, 2θ (°), I (rel.), index
4.675, 18.98, 23, 0 1 1
3.938, 22.58, 23, 1 0 2
3.740, 23.79, 23, 0 1 2
3.408, 26.15, 100, 1 1 -2
3.134, 28.48, 19, 1 1 2
3.037, 29.41, 34, 2 0 -2
2.621, 34.21, 15, 2 1 -2
2.594, 34.58, 43, 1 1 3
1.742, 52.52, 14, 3 1 -4
1.497, 61.97, 14, 1 3 3